Entry 1:
This entry pairs a crystal structure of LiY2ZnCu6 with its calculated XRD peak list. Radiation: Cu Kα, 1.54184 Å. Structure: DFT lattice parameters and positions (GGA-PBE).
No peak broadening, texture or thermal motion is included.

Crystal structure
```
LiY2ZnCu6
1.0
4.9542 0.0000 0.0000
1.1341 5.5754 0.0000
2.0819 1.5168 5.8771
Li Y Zn Cu
1 2 1 6
direct
0.0000 0.0000 0.0000
0.4638 0.6797 0.6940
0.5362 0.3203 0.3060
0.0000 0.0000 0.5000
0.0257 0.3669 0.6919
0.1586 0.3195 0.0715
0.4317 0.8701 0.2017
0.5683 0.1299 0.7983
0.8414 0.6805 0.9285
0.9743 0.6331 0.3081
```

Principal peaks in the range 10° ≤ 2θ ≤ 90°, in order of rising 2θ:
2θ (°)  d (Å)  I (rel.)
30.2  2.963  58
33.1  2.703  53
33.8  2.654  72
36.5  2.460  29
38.7  2.328  55
39.3  2.294  27
39.8  2.262  100
40.6  2.225  51
40.7  2.217  53
42.4  2.133  93
45.1  2.010  44
45.8  1.979  28

Entry 2:
This entry pairs a crystal structure of Li3Y2ZnCu12 with its calculated XRD peak list. Radiation: Cu Kα, 1.54184 Å. Structure: DFT lattice parameters and positions (GGA-PBE).
No peak broadening, texture or thermal motion is included.

Crystal structure
```
Li3Y2ZnCu12
1.0
4.3278 2.4987 4.1610
-4.3278 2.4987 4.1610
0.0000 -4.9973 4.1610
Li Y Zn Cu
3 2 1 12
direct
0.0000 0.5000 0.5000
0.5000 0.0000 0.5000
0.5000 0.5000 0.0000
0.2151 0.2151 0.2151
0.7849 0.7849 0.7849
0.5000 0.5000 0.5000
0.0760 0.0760 0.6472
0.0760 0.6472 0.0760
0.2291 0.7007 0.7007
0.2993 0.2993 0.7709
0.2993 0.7709 0.2993
0.3528 0.9240 0.9240
0.6472 0.0760 0.0760
0.7007 0.2291 0.7007
0.7007 0.7007 0.2291
0.7709 0.2993 0.2993
0.9240 0.3528 0.9240
0.9240 0.9241 0.3528
```

Principal peaks in the range 10° ≤ 2θ ≤ 90°, in order of rising 2θ:
2θ (°)  d (Å)  I (rel.)
21.4  4.161  22
24.8  3.590  21
27.8  3.213  32
34.8  2.580  13
41.7  2.164  100
42.2  2.142  21
43.1  2.098  11
43.6  2.078  73
47.4  1.920  17
57.2  1.610  11
61.9  1.499  21
77.5  1.232  13

Entry 3:
This entry pairs a crystal structure of Li3Zn8Cu3 with its calculated XRD peak list. Radiation: Cu Kα, 1.54184 Å. Structure: DFT lattice parameters and positions (GGA-PBE).
No peak broadening, texture or thermal motion is included.

Crystal structure
```
Li3Zn8Cu3
1.0
-2.0943 4.8227 5.2544
2.0943 -4.8227 5.2544
2.0943 4.8227 -5.2544
Li Zn Cu
3 8 3
direct
0.0000 0.0000 0.0000
0.2820 0.2820 0.0000
0.7180 0.7180 0.0000
0.0010 0.3714 0.6295
0.1476 0.8638 0.2838
0.2581 0.6286 0.6295
0.4200 0.1362 0.2838
0.5800 0.8638 0.7162
0.7419 0.3714 0.3705
0.8524 0.1362 0.7162
0.9990 0.6286 0.3705
0.3585 0.5000 0.8585
0.5000 0.0000 0.5000
0.6415 0.5000 0.1415
```

Principal peaks in the range 10° ≤ 2θ ≤ 90°, in order of rising 2θ:
2θ (°)  d (Å)  I (rel.)
16.9  5.254  22
18.4  4.823  39
23.2  3.842  47
27.1  3.293  38
38.3  2.347  50
39.0  2.307  24
39.3  2.294  25
41.6  2.169  32
43.2  2.094  56
44.2  2.050  100
49.8  1.830  72
78.4  1.219  21

Entry 4:
This entry pairs a crystal structure of Li4ZnCu5 with its calculated XRD peak list. Radiation: Cu Kα, 1.54184 Å. Structure: DFT lattice parameters and positions (GGA-PBE).
No peak broadening, texture or thermal motion is included.

Crystal structure
```
Li4ZnCu5
1.0
-3.8169 3.8169 2.3378
3.8169 -3.8169 2.3378
3.8169 3.8169 -2.3378
Li Zn Cu
4 1 5
direct
0.1515 0.7683 0.9198
0.2317 0.1515 0.3831
0.7683 0.8485 0.6169
0.8485 0.2317 0.0802
0.2756 0.2756 0.0000
0.1646 0.4745 0.6222
0.4745 0.8523 0.3099
0.5424 0.1646 0.6901
0.7509 0.7509 0.0000
0.8523 0.5424 0.3778
```

Principal peaks in the range 10° ≤ 2θ ≤ 90°, in order of rising 2θ:
2θ (°)  d (Å)  I (rel.)
22.3  3.987  21
23.3  3.817  100
32.5  2.757  66
37.2  2.414  72
40.4  2.235  85
42.1  2.145  85
47.1  1.929  23
50.7  1.799  38
51.7  1.767  28
53.2  1.721  24
68.0  1.379  38
75.4  1.261  17

Entry 5:
This entry pairs a crystal structure of LiZn7Cu4 with its calculated XRD peak list. Radiation: Cu Kα, 1.54184 Å. Structure: DFT lattice parameters and positions (GGA-PBE).
No peak broadening, texture or thermal motion is included.

Crystal structure
```
LiZn7Cu4
1.0
4.2152 0.0000 0.0000
-2.1076 3.6504 0.0000
0.0000 0.0000 10.4349
Li Zn Cu
1 7 4
direct
0.0000 0.0000 0.0000
0.0000 0.0000 0.2424
0.0000 0.0000 0.5000
0.0000 0.0000 0.7576
0.3333 0.6667 0.6620
0.3333 0.6667 0.9206
0.6667 0.3333 0.0794
0.6667 0.3333 0.3380
0.3333 0.6667 0.1680
0.3333 0.6667 0.4169
0.6667 0.3333 0.5831
0.6667 0.3333 0.8320
```

Principal peaks in the range 10° ≤ 2θ ≤ 90°, in order of rising 2θ:
2θ (°)  d (Å)  I (rel.)
17.0  5.217  2
24.4  3.650  3
25.9  3.446  4
29.9  2.991  5
35.7  2.518  5
42.6  2.122  100
42.9  2.108  98
57.0  1.616  1
62.1  1.496  30
77.8  1.228  15
78.4  1.220  29
78.6  1.217  16

Entry 6:
This entry pairs a crystal structure of Li3Zn6Cu with its calculated XRD peak list. Radiation: Cu Kα, 1.54184 Å. Structure: DFT lattice parameters and positions (GGA-PBE).
No peak broadening, texture or thermal motion is included.

Crystal structure
```
Li3Zn6Cu
1.0
4.7481 -2.5176 0.0000
4.7481 2.5176 0.0000
-1.7605 0.0000 6.2458
Li Zn Cu
3 6 1
direct
0.0000 0.0000 0.0000
0.1007 0.1007 0.6694
0.8993 0.8993 0.3306
0.0952 0.5953 0.6945
0.3239 0.3239 0.0757
0.4047 0.9048 0.3055
0.5953 0.0952 0.6945
0.6761 0.6761 0.9243
0.9048 0.4047 0.3055
0.5000 0.5000 0.5000
```

Principal peaks in the range 10° ≤ 2θ ≤ 90°, in order of rising 2θ:
2θ (°)  d (Å)  I (rel.)
19.4  4.570  19
20.1  4.410  39
27.1  3.288  58
34.1  2.633  24
37.4  2.405  26
39.1  2.304  32
40.5  2.229  22
41.6  2.170  100
42.2  2.142  42
42.6  2.124  33
46.3  1.960  42
59.4  1.556  23